(1)
The following is a calculated X-ray diffraction stick pattern of TbPm2HoSc. It was derived from DFT lattice parameters and positions (GGA-PBE), using Cu Kα (weighted mean of Kα1 and Kα2).

Most intense lines, 15° ≤ 2θ ≤ 90°, in order of falling intensity:
d/Å  Position (°2θ)  I (rel.)  (hkl)
3.325  26.81  100  2 2 0
3.024  29.54  98  0 2 2
2.695  33.24  82  2 0 2
1.954  46.47  58  2 4 2
2.837  31.54  52  0 4 0
1.574  58.64  23  2 2 4
2.477  36.27  20  1 3 2
2.217  40.70  19  3 3 0

Structural model:
```
data_TbPm2HoSc
_chemical_formula_sum 'Tb4 Pm8 Ho4 Sc4'
_symmetry_space_group_name_H-M 'C m c m'
_symmetry_Int_Tables_number 63
_symmetry_space_group_name_Hall '-C 2c 2'
_cell_length_a 8.207
_cell_length_b 11.347
_cell_length_c 7.149
_cell_angle_alpha 90.00
_cell_angle_beta 90.00
_cell_angle_gamma 90.00
loop_
_atom_site_label
_atom_site_type_symbol
_atom_site_fract_x
_atom_site_fract_y
_atom_site_fract_z
_atom_site_occupancy
Tb1 Tb 0.000 0.230 0.250 1
Pm1 Pm 0.199 0.000 0.000 1
Ho1 Ho 0.000 0.237 0.750 1
Sc1 Sc 0.000 0.494 0.250 1
```

(2)
The following is a calculated X-ray diffraction stick pattern of Pr12NiSn6. It was derived from DFT lattice parameters and positions (GGA-PBE), using Cu Kα (weighted mean of Kα1 and Kα2).

Most intense lines, 15° ≤ 2θ ≤ 90°, in order of falling intensity:
d/Å  Position (°2θ)  I (rel.)  (hkl)
2.611  34.35  100  2 2 3
2.923  30.58  91  1 3 1
3.424  26.03  53  1 0 4
2.759  32.46  31  4 -1 2
2.701  33.17  30  3 -1 4
3.107  28.73  22  2 2 0
2.355  38.21  19  3 -2 5
1.504  61.68  17  5 3 2

Structural model:
```
data_Pr12NiSn6
_chemical_formula_sum 'Pr36 Ni3 Sn18'
_symmetry_space_group_name_H-M 'R -3'
_symmetry_Int_Tables_number 148
_symmetry_space_group_name_Hall '-R 3'
_cell_length_a 12.4272
_cell_length_b 12.4272
_cell_length_c 14.4449
_cell_angle_alpha 90.00
_cell_angle_beta 90.00
_cell_angle_gamma 120.00
loop_
_atom_site_label
_atom_site_type_symbol
_atom_site_fract_x
_atom_site_fract_y
_atom_site_fract_z
_atom_site_occupancy
Pr1 Pr 0.0327 0.8387 0.3897 1
Pr2 Pr 0.0337 0.1935 0.8840 1
Ni1 Ni 0.0000 0.0000 0.0000 1
Sn1 Sn 0.0032 0.6119 0.2538 1
```

(3)
The following is a calculated X-ray diffraction stick pattern of MgScTcO6. It was derived from DFT lattice parameters and positions (GGA-PBE), using Cu Kα (weighted mean of Kα1 and Kα2).

Most intense lines, 15° ≤ 2θ ≤ 90°, in order of falling intensity:
d/Å  Position (°2θ)  I (rel.)  (hkl)
3.180  28.06  100  1 0 1
2.244  40.18  64  1 1 1
4.481  19.81  59  1 0 0
4.513  19.67  56  0 0 1
1.701  53.92  56  1 1 2
2.587  34.67  35  1 1 0
2.007  45.18  25  2 0 1
1.586  58.18  25  2 1 1

Structural model:
```
data_MgScTcO6
_chemical_formula_sum 'Mg1 Sc1 Tc1 O6'
_symmetry_space_group_name_H-M 'P 3 1 2'
_symmetry_Int_Tables_number 149
_symmetry_space_group_name_Hall 'P 3 2'
_cell_length_a 5.1746
_cell_length_b 5.1746
_cell_length_c 4.5127
_cell_angle_alpha 90.00
_cell_angle_beta 90.00
_cell_angle_gamma 120.00
loop_
_atom_site_label
_atom_site_type_symbol
_atom_site_fract_x
_atom_site_fract_y
_atom_site_fract_z
_atom_site_occupancy
Mg1 Mg 0.0000 0.0000 0.0000 1
Sc1 Sc 0.6667 0.3333 0.5000 1
Tc1 Tc 0.3333 0.6667 0.5000 1
O1 O 0.0285 0.3609 0.2642 1
```

Copy entry 3 word for word.
The following is a calculated X-ray diffraction stick pattern of MgScTcO6. It was derived from DFT lattice parameters and positions (GGA-PBE), using Cu Kα (weighted mean of Kα1 and Kα2).

Most intense lines, 15° ≤ 2θ ≤ 90°, in order of falling intensity:
d/Å  Position (°2θ)  I (rel.)  (hkl)
3.180  28.06  100  1 0 1
2.244  40.18  64  1 1 1
4.481  19.81  59  1 0 0
4.513  19.67  56  0 0 1
1.701  53.92  56  1 1 2
2.587  34.67  35  1 1 0
2.007  45.18  25  2 0 1
1.586  58.18  25  2 1 1

Structural model:
```
data_MgScTcO6
_chemical_formula_sum 'Mg1 Sc1 Tc1 O6'
_symmetry_space_group_name_H-M 'P 3 1 2'
_symmetry_Int_Tables_number 149
_symmetry_space_group_name_Hall 'P 3 2'
_cell_length_a 5.1746
_cell_length_b 5.1746
_cell_length_c 4.5127
_cell_angle_alpha 90.00
_cell_angle_beta 90.00
_cell_angle_gamma 120.00
loop_
_atom_site_label
_atom_site_type_symbol
_atom_site_fract_x
_atom_site_fract_y
_atom_site_fract_z
_atom_site_occupancy
Mg1 Mg 0.0000 0.0000 0.0000 1
Sc1 Sc 0.6667 0.3333 0.5000 1
Tc1 Tc 0.3333 0.6667 0.5000 1
O1 O 0.0285 0.3609 0.2642 1
```